[1]
This entry pairs a crystal structure of AlFe2S4 with its computed X-ray powder pattern. Radiation: CuKα. Structure: a structure optimized by DFT (GGA-PBE).
No peak broadening, texture or thermal motion is included.

Structure:
```
AlFe2S4
1.0
4.9040 -4.8483 0.0000
4.9040 4.8483 0.0000
-4.7688 0.0000 4.9144
Al Fe S
2 4 8
Direct
0.0000 0.5000 0.0000
0.5000 0.0000 0.5000
0.0000 0.0000 0.0000
0.0000 0.0000 0.5000
0.3837 0.6163 0.7500
0.6163 0.3837 0.2500
0.2152 0.2233 0.9683
0.2233 0.2152 0.4683
0.2370 0.7619 0.4895
0.2381 0.7630 0.0105
0.7619 0.2370 0.9895
0.7630 0.2381 0.5105
0.7767 0.7848 0.5317
0.7848 0.7767 0.0317
```

Most intense lines, 10 to 80 degrees two-theta, in order of falling intensity:
2θ/deg  d [Å]  I/Imax
30.45  2.935  100
53.10  1.725  99
36.62  2.454  52
25.83  3.449  42
30.00  2.979  32
25.31  3.519  28
37.09  2.424  26
53.53  1.712  26
51.97  1.760  25
15.56  5.696  24

***

[2]
This entry pairs a crystal structure of Al2FeS4 with its computed X-ray powder pattern. Radiation: CuKα. Structure: a structure optimized by DFT (GGA-PBE).
No peak broadening, texture or thermal motion is included.

Structure:
```
Al2FeS4
1.0
1.7981 1.0381 12.3336
-1.7981 1.0381 12.3336
0.0000 -2.0762 12.3336
Al Fe S
2 1 4
Direct
0.0000 0.0000 0.0000
0.2347 0.2347 0.2347
0.7629 0.7629 0.7629
0.1191 0.1191 0.1191
0.2952 0.2952 0.2952
0.6985 0.6985 0.6985
0.8753 0.8753 0.8753
```

Most intense lines, 10 to 80 degrees two-theta, in order of falling intensity:
2θ/deg  d [Å]  I/Imax
29.08  3.071  100
50.78  1.798  92
21.62  4.111  86
51.21  1.784  80
34.73  2.583  61
28.77  3.103  42
55.80  1.647  33
33.39  2.683  32
30.28  2.952  32
39.43  2.285  32

***

[3]
This entry pairs a crystal structure of Al2FeS4 with its computed X-ray powder pattern. Radiation: CuKα. Structure: a structure optimized by DFT (GGA-PBE).
No peak broadening, texture or thermal motion is included.

Structure:
```
Al2FeS4
1.0
1.7794 1.0273 11.9405
-1.7794 1.0273 11.9405
0.0000 -2.0547 11.9405
Al Fe S
2 1 4
Direct
0.2409 0.2409 0.2409
0.7591 0.7591 0.7591
0.0000 0.0000 0.0000
0.1205 0.1205 0.1205
0.3042 0.3042 0.3042
0.6958 0.6958 0.6958
0.8795 0.8795 0.8795
```

Most intense lines, 10 to 80 degrees two-theta, in order of falling intensity:
2θ/deg  d [Å]  I/Imax
22.34  3.980  100
51.35  1.779  83
33.96  2.640  72
29.08  3.071  60
50.38  1.811  56
35.36  2.539  55
52.62  1.739  51
56.66  1.624  39
38.53  2.336  31
30.68  2.914  23

***

[4]
This entry pairs a crystal structure of Al3Fe2Si with its computed X-ray powder pattern. Radiation: CuKα. Structure: a structure optimized by DFT (GGA-PBE).
No peak broadening, texture or thermal motion is included.

Structure:
```
Al3Fe2Si
1.0
0.0000 5.3731 5.3731
5.3731 0.0000 5.3731
5.3731 5.3731 0.0000
Al Fe Si
12 8 4
Direct
0.0748 0.0748 0.6752
0.0748 0.6752 0.0748
0.0748 0.6752 0.6752
0.3248 0.3248 0.9252
0.3248 0.9252 0.3248
0.3248 0.9252 0.9252
0.6752 0.0748 0.0748
0.6752 0.0748 0.6752
0.6752 0.6752 0.0748
0.9252 0.3248 0.3248
0.9252 0.3248 0.9252
0.9252 0.9252 0.3248
0.2851 0.2851 0.2851
0.2851 0.2851 0.6448
0.2851 0.6448 0.2851
0.3552 0.7149 0.7149
0.6448 0.2851 0.2851
0.7149 0.3552 0.7149
0.7149 0.7149 0.3552
0.7149 0.7149 0.7149
0.0000 0.5000 0.5000
0.5000 0.0000 0.5000
0.5000 0.5000 0.0000
0.5000 0.5000 0.5000
```

Most intense lines, 10 to 80 degrees two-theta, in order of falling intensity:
2θ/deg  d [Å]  I/Imax
43.77  2.068  100
14.28  6.204  44
47.88  1.900  33
28.78  3.102  23
75.00  1.266  19
41.15  2.194  18
50.99  1.791  15
66.88  1.399  10
76.82  1.241  8
33.35  2.687  6